This entry pairs a crystal structure of LaGa2CuPd2 with its simulated X-ray diffraction stick pattern. Radiation: Cu Kα (weighted mean of Kα1 and Kα2). Structure: a GGA-PBE-relaxed structure.

Atomic structure:
```
data_LaGa2CuPd2
_cell_length_a 5.7149
_cell_length_b 9.5000
_cell_length_c 4.0397
_cell_angle_alpha 90.00
_cell_angle_beta 90.00
_cell_angle_gamma 90.00
_space_group_name_H-M_alt 'C m m m'
_space_group_IT_number 65
_space_group_name_Hall '-C 2 2'
loop_
_atom_site_label
_atom_site_fract_x
_atom_site_fract_y
_atom_site_fract_z
La1 0.0000 0.0000 0.0000
Ga1 0.0000 0.3410 0.0000
Cu1 0.0000 0.5000 0.5000
Pd1 0.2500 0.2500 0.5000
```

Most intense lines, 2θ from 10° to 90°, by angle:
index  two_theta  d/Å  I/Imax
1 1 1  28.6  3.116  31
0 2 1  29.0  3.077  46
1 3 0  32.3  2.770  32
2 2 0  36.7  2.449  65
2 0 1  38.6  2.333  80
1 3 1  39.4  2.284  100
2 2 1  43.2  2.094  27
0 0 2  44.9  2.020  45
2 2 2  59.3  1.558  31
2 6 2  84.9  1.142  27

This entry pairs a crystal structure of CsDyC2O6 with its simulated X-ray diffraction stick pattern. Radiation: Cu Kα (weighted mean of Kα1 and Kα2). Structure: a GGA-PBE-relaxed structure.

Atomic structure:
```
data_CsDyC2O6
_cell_length_a 8.7863
_cell_length_b 9.3953
_cell_length_c 7.0139
_cell_angle_alpha 90.00
_cell_angle_beta 109.79
_cell_angle_gamma 90.00
_space_group_name_H-M_alt 'C 1 2/c 1'
_space_group_IT_number 15
_space_group_name_Hall '-C 2yc'
loop_
_atom_site_label
_atom_site_fract_x
_atom_site_fract_y
_atom_site_fract_z
Cs1 0.0000 0.1076 0.2500
Dy1 0.0000 0.4012 0.7500
C1 0.2234 0.3777 0.2466
O1 0.0835 0.3806 0.0984
O2 0.1717 0.2195 0.7376
O3 0.2462 0.4788 0.3783
```

Most intense lines, 2θ from 10° to 90°, by angle:
index  two_theta  d/Å  I/Imax
2 0 0  21.5  4.134  48
0 2 1  23.2  3.827  69
0 0 2  27.0  3.300  60
2 0 -2  28.3  3.151  21
2 2 -1  28.5  3.132  100
2 2 1  34.9  2.568  41
2 2 -3  44.0  2.058  29
2 4 0  44.4  2.042  22
0 2 3  45.5  1.992  21
4 2 -1  45.6  1.989  22

This entry pairs a crystal structure of Pa2NiS4 with its simulated X-ray diffraction stick pattern. Radiation: Cu Kα (weighted mean of Kα1 and Kα2). Structure: a GGA-PBE-relaxed structure.

Atomic structure:
```
data_Pa2NiS4
_cell_length_a 6.2599
_cell_length_b 5.9718
_cell_length_c 7.3761
_cell_angle_alpha 90.00
_cell_angle_beta 107.11
_cell_angle_gamma 90.00
_space_group_name_H-M_alt 'P 1 21/m 1'
_space_group_IT_number 11
_space_group_name_Hall '-P 2yb'
loop_
_atom_site_label
_atom_site_fract_x
_atom_site_fract_y
_atom_site_fract_z
Pa1 0.2305 0.2500 0.0558
Pa2 0.2372 0.2500 0.5614
Ni1 0.2373 0.7500 0.8104
S1 0.0188 0.5113 0.2564
S2 0.4307 0.7500 0.1101
S3 0.4333 0.7500 0.6080
```

Most intense lines, 2θ from 10° to 90°, by angle:
index  two_theta  d/Å  I/Imax
1 1 0  21.0  4.227  100
1 0 -2  25.3  3.524  28
0 1 2  29.4  3.035  57
0 2 0  29.9  2.988  73
2 0 -2  33.1  2.708  29
2 1 -2  36.4  2.466  90
1 2 -2  39.6  2.278  44
2 2 0  42.8  2.113  37
3 0 -2  45.2  2.007  23
2 3 -2  57.5  1.604  24

This entry pairs a crystal structure of PmGaCo with its simulated X-ray diffraction stick pattern. Radiation: Cu Kα (weighted mean of Kα1 and Kα2). Structure: a GGA-PBE-relaxed structure.

Atomic structure:
```
data_PmGaCo
_cell_length_a 6.4132
_cell_length_b 6.4132
_cell_length_c 6.4132
_cell_angle_alpha 90.00
_cell_angle_beta 90.00
_cell_angle_gamma 90.00
_space_group_name_H-M_alt 'F -4 3 m'
_space_group_IT_number 216
_space_group_name_Hall 'F -4 2 3'
loop_
_atom_site_label
_atom_site_fract_x
_atom_site_fract_y
_atom_site_fract_z
Pm1 0.0000 0.0000 0.0000
Ga1 0.2500 0.2500 0.7500
Co1 0.0000 0.0000 0.5000
```

Most intense lines, 2θ from 10° to 90°, by angle:
index  two_theta  d/Å  I/Imax
1 1 1  24.0  3.703  39
2 0 0  27.8  3.207  30
2 2 0  39.8  2.267  100
3 1 1  47.0  1.934  20
2 2 2  49.2  1.851  8
4 0 0  57.5  1.603  17
3 3 1  63.2  1.471  8
4 2 0  65.0  1.434  10
4 2 2  72.2  1.309  33
4 4 0  85.7  1.134  10

This entry pairs a crystal structure of Li2Hf2Ge2IrPd with its simulated X-ray diffraction stick pattern. Radiation: Cu Kα (weighted mean of Kα1 and Kα2). Structure: a GGA-PBE-relaxed structure.

Atomic structure:
```
data_Li2Hf2Ge2IrPd
_cell_length_a 4.4682
_cell_length_b 4.4682
_cell_length_c 6.2553
_cell_angle_alpha 90.00
_cell_angle_beta 90.00
_cell_angle_gamma 90.00
_space_group_name_H-M_alt 'P -4 m 2'
_space_group_IT_number 115
_space_group_name_Hall 'P -4 -2'
loop_
_atom_site_label
_atom_site_fract_x
_atom_site_fract_y
_atom_site_fract_z
Li1 0.0000 0.0000 0.0000
Li2 0.5000 0.5000 0.5000
Hf1 0.0000 0.5000 0.7460
Ge1 0.0000 0.5000 0.2438
Ir1 0.0000 0.0000 0.5000
Pd1 0.5000 0.5000 0.0000
```

Most intense lines, 2θ from 10° to 90°, by angle:
index  two_theta  d/Å  I/Imax
1 0 1  24.5  3.636  70
2 0 0  40.4  2.234  51
1 1 2  40.6  2.223  100
2 1 1  47.8  1.903  24
1 0 3  48.2  1.889  12
2 2 0  58.4  1.580  17
2 1 3  64.6  1.443  10
3 1 2  73.6  1.288  35
2 0 4  74.0  1.281  17
2 2 4  87.8  1.111  11

This entry pairs a crystal structure of AgH8C4N8F with its simulated X-ray diffraction stick pattern. Radiation: Cu Kα (weighted mean of Kα1 and Kα2). Structure: a GGA-PBE-relaxed structure.

Atomic structure:
```
data_AgH8C4N8F
_cell_length_a 6.0322
_cell_length_b 7.3570
_cell_length_c 9.4334
_cell_angle_alpha 93.85
_cell_angle_beta 95.31
_cell_angle_gamma 98.52
_space_group_name_H-M_alt 'P -1'
_space_group_IT_number 2
_space_group_name_Hall '-P 1'
loop_
_atom_site_label
_atom_site_fract_x
_atom_site_fract_y
_atom_site_fract_z
Ag1 0.1354 0.3642 0.4205
H1 0.0361 0.2735 0.0574
H2 0.0862 0.0032 0.8011
H3 0.1028 0.4984 0.1286
H4 0.1106 0.9941 0.6154
H5 0.2128 0.8554 0.1140
H6 0.3213 0.1014 0.0255
H7 0.3767 0.7394 0.2319
H8 0.3995 0.8137 0.9049
C1 0.1409 0.8723 0.3234
C2 0.2989 0.5118 0.7522
C3 0.3695 0.3666 0.1160
C4 0.3935 0.7855 0.4918
N1 0.0406 0.0466 0.7016
N2 0.1193 0.5185 0.6921
N3 0.1572 0.3909 0.0757
N4 0.2016 0.8403 0.4611
N5 0.2562 0.8236 0.2169
N6 0.4340 0.2060 0.0827
N7 0.4338 0.2607 0.4691
N8 0.4921 0.4883 0.8106
F1 0.1676 0.9043 0.9438
```

Most intense lines, 2θ from 10° to 90°, by angle:
index  two_theta  d/Å  I/Imax
0 1 0  12.2  7.251  90
0 1 -1  14.8  5.975  87
1 0 0  14.9  5.933  53
1 0 1  18.5  4.791  100
0 1 -3  30.2  2.956  58
1 2 0  30.8  2.900  67
1 0 -3  31.0  2.888  59
1 2 -1  31.2  2.866  53
0 2 2  32.5  2.759  55
1 2 -2  34.4  2.606  73

What is the formula in the first record?
LaGa2CuPd2